This entry pairs a crystal structure of Nb9AsO25 with its calculated X-ray diffraction stick pattern. Radiation: Cu Kα (weighted mean of Kα1 and Kα2). Structure: a DFT-relaxed cell (GGA-PBE, Alexandria).
Kinematic intensities with the Lorentz-polarization factor, no thermal factor.

Main lines, sorted by position (10° ≤ 2θ ≤ 90°):
d_spacing  I_rel
5.058  21
3.775  47
3.577  100
3.414  23
2.923  39
2.745  22
2.100  21
1.767  23

Structural model:
Cell: 11.4750 11.4750 15.9947 Å, 134.18 134.18 19.49°
Fractional coordinates of all 35 atoms:
Nb1 0.0000 0.0000 0.0000
Nb2 0.0629 0.1509 0.8890
Nb3 0.0666 0.1645 0.4416
Nb4 0.1801 0.2558 0.3248
Nb5 0.2934 0.3587 0.2105
Nb6 0.6413 0.7066 0.7895
Nb7 0.7442 0.8199 0.6752
Nb8 0.8355 0.9334 0.5584
Nb9 0.8491 0.9371 0.1110
As1 0.2092 0.7908 0.5000
O1 0.0141 0.0883 0.9352
O2 0.0469 0.1010 0.5215
O3 0.0792 0.1528 0.1673
O4 0.1116 0.2044 0.8052
O5 0.1480 0.2022 0.3923
O6 0.1623 0.2720 0.0422
O7 0.2146 0.2841 0.6372
O8 0.2484 0.3118 0.2681
O9 0.3178 0.3879 0.5109
O10 0.3411 0.4346 0.1385
O11 0.3930 0.5022 0.3737
O12 0.4707 0.5293 0.0000
O13 0.4978 0.6070 0.6263
O14 0.5654 0.6589 0.8615
O15 0.6121 0.6822 0.4891
O16 0.6882 0.7516 0.7319
O17 0.7159 0.7854 0.3628
O18 0.7280 0.8377 0.9578
O19 0.7956 0.8884 0.1948
O20 0.7978 0.8520 0.6077
O21 0.8472 0.9208 0.8327
O22 0.8990 0.9531 0.4785
O23 0.9117 0.9859 0.0648
O24 0.9378 0.0382 0.7079
O25 0.9618 0.0622 0.2921

***

This entry pairs a crystal structure of RbNb2AsO8 with its calculated X-ray diffraction stick pattern. Radiation: Cu Kα (weighted mean of Kα1 and Kα2). Structure: a DFT-relaxed cell (GGA-PBE, Alexandria).
Kinematic intensities with the Lorentz-polarization factor, no thermal factor.

Main lines, sorted by position (10° ≤ 2θ ≤ 90°):
d_spacing  I_rel
8.521  51
3.882  100
3.676  55
2.800  25
2.710  42
2.630  16
2.279  14
2.227  20

Structural model:
Cell: 5.4290 5.4290 8.9376 Å, 104.98 104.98 62.09°
Fractional coordinates of all 12 atoms:
Rb1 0.0000 0.0000 0.0000
Nb1 0.1971 0.1971 0.6718
Nb2 0.8029 0.8029 0.3282
As1 0.5000 0.5000 0.5000
O1 0.2050 0.6672 0.3463
O2 0.3108 0.3108 0.5273
O3 0.3111 0.3111 0.8713
O4 0.3328 0.7950 0.6537
O5 0.6672 0.2050 0.3463
O6 0.6889 0.6889 0.1287
O7 0.6892 0.6892 0.4727
O8 0.7950 0.3328 0.6537

***

This entry pairs a crystal structure of NbZnAsO with its calculated X-ray diffraction stick pattern. Radiation: Cu Kα (weighted mean of Kα1 and Kα2). Structure: a DFT-relaxed cell (GGA-PBE, Alexandria).
Kinematic intensities with the Lorentz-polarization factor, no thermal factor.

Main lines, sorted by position (10° ≤ 2θ ≤ 90°):
d_spacing  I_rel
2.983  74
2.716  85
2.396  100
2.093  73
1.785  78
1.616  21
1.358  16
1.202  24

Structural model:
Cell: 3.5672 3.5672 11.3784 Å, 90.03 90.03 60.10°
Fractional coordinates of all 8 atoms:
Nb1 0.1673 0.1673 0.1242
Nb2 0.8327 0.8327 0.8758
Zn1 0.1670 0.1670 0.4253
Zn2 0.8330 0.8330 0.5747
As1 0.5005 0.5005 0.2787
As2 0.4995 0.4995 0.7213
O1 0.1667 0.1667 0.9302
O2 0.8333 0.8333 0.0698